# 1
The following is a computed powder XRD pattern of RbSm3S4. It was derived from a structure optimized by DFT (PBE), using Cu Kα X-rays.
Kinematic intensities with the Lorentz-polarization factor, no thermal factor.

The 10 most intense peaks (10 to 90 degrees two-theta), in order of rising 2θ:
| two_theta | Rel. int. |
| --- | --- |
| 25.05 | 38 |
| 26.90 | 75 |
| 28.18 | 52 |
| 29.74 | 58 |
| 31.56 | 100 |
| 33.59 | 31 |
| 43.35 | 50 |
| 44.36 | 74 |
| 51.61 | 34 |
| 55.44 | 25 |

Structural model:
```
RbSm3S4
1.0
4.085 0.000 0.000
-2.042 3.537 0.000
0.000 0.000 28.438
Rb Sm S
2 6 8
Cartesian
0.000 2.358 7.109
2.042 1.179 21.328
0.000 0.000 0.000
0.000 0.000 14.219
0.000 2.358 17.450
0.000 2.358 25.206
2.042 1.179 3.231
2.042 1.179 10.987
0.000 0.000 4.755
0.000 0.000 9.464
0.000 0.000 18.974
0.000 0.000 23.683
0.000 2.358 1.622
0.000 2.358 12.597
2.042 1.179 15.841
2.042 1.179 26.816
```

# 2
The following is a computed powder XRD pattern of YEr6Sc6. It was derived from a structure optimized by DFT (PBE), using Cu Kα X-rays.
Kinematic intensities with the Lorentz-polarization factor, no thermal factor.

The 10 most intense peaks (10 to 90 degrees two-theta), in order of rising 2θ:
| two_theta | Rel. int. |
| --- | --- |
| 23.72 | 31 |
| 26.81 | 82 |
| 28.52 | 100 |
| 30.40 | 71 |
| 31.77 | 60 |
| 33.26 | 51 |
| 36.09 | 79 |
| 40.97 | 40 |
| 44.45 | 33 |
| 60.22 | 31 |

Structural model:
```
YEr6Sc6
1.0
3.325 -5.320 0.000
3.325 5.320 0.000
0.000 0.000 10.584
Y Er Sc
1 6 6
Cartesian
0.000 0.000 0.000
0.000 0.000 3.544
0.000 0.000 7.040
3.325 2.306 5.292
3.325 1.579 0.000
3.325 -1.579 0.000
3.325 -2.306 5.292
1.663 2.660 2.400
1.663 2.660 8.184
1.663 -2.660 2.400
1.663 -2.660 8.184
3.325 0.000 3.046
3.325 0.000 7.538
```

# 3
The following is a computed powder XRD pattern of Pm6SmTm6. It was derived from a structure optimized by DFT (PBE), using Cu Kα X-rays.
Kinematic intensities with the Lorentz-polarization factor, no thermal factor.

The 10 most intense peaks (10 to 90 degrees two-theta), in order of rising 2θ:
| two_theta | Rel. int. |
| --- | --- |
| 29.01 | 73 |
| 29.93 | 92 |
| 31.62 | 27 |
| 32.08 | 39 |
| 32.36 | 29 |
| 34.10 | 100 |
| 35.14 | 29 |
| 36.05 | 22 |
| 59.35 | 25 |
| 60.35 | 22 |

Structural model:
```
Pm6SmTm6
1.0
6.605 0.000 0.000
0.000 11.068 0.000
-2.819 0.000 5.978
Pm Sm Tm
6 1 6
Cartesian
0.000 1.895 0.000
0.000 9.173 0.000
-0.325 0.000 4.401
0.549 5.534 3.824
3.236 5.534 2.154
4.111 0.000 1.577
0.000 5.534 0.000
-1.410 3.031 2.989
-1.410 8.036 2.989
1.893 2.206 2.989
3.303 3.046 0.000
3.303 8.022 0.000
1.893 8.861 2.989
```

What did the first record say?
The following is a computed powder XRD pattern of RbSm3S4. It was derived from a structure optimized by DFT (PBE), using Cu Kα X-rays.
Kinematic intensities with the Lorentz-polarization factor, no thermal factor.

The 10 most intense peaks (10 to 90 degrees two-theta), in order of rising 2θ:
| two_theta | Rel. int. |
| --- | --- |
| 25.05 | 38 |
| 26.90 | 75 |
| 28.18 | 52 |
| 29.74 | 58 |
| 31.56 | 100 |
| 33.59 | 31 |
| 43.35 | 50 |
| 44.36 | 74 |
| 51.61 | 34 |
| 55.44 | 25 |

Structural model:
```
RbSm3S4
1.0
4.085 0.000 0.000
-2.042 3.537 0.000
0.000 0.000 28.438
Rb Sm S
2 6 8
Cartesian
0.000 2.358 7.109
2.042 1.179 21.328
0.000 0.000 0.000
0.000 0.000 14.219
0.000 2.358 17.450
0.000 2.358 25.206
2.042 1.179 3.231
2.042 1.179 10.987
0.000 0.000 4.755
0.000 0.000 9.464
0.000 0.000 18.974
0.000 0.000 23.683
0.000 2.358 1.622
0.000 2.358 12.597
2.042 1.179 15.841
2.042 1.179 26.816
```